Simulated powder XRD pattern of Na4CaAlP3O12 for CuKα, from a crystal structure in the Materials Project, relaxed with PBE.
Lines closer than 0.1° are merged.

Cell and atoms:
Lattice parameters (Å, degrees): 8.9217 8.9217 8.9217 61.87 61.87 61.87
Sites, in units of the cell vectors:
Na 0.0000 0.0000 0.0000
Na 0.1111 0.3935 0.7389
Na 0.2389 0.8935 0.6111
Na 0.3935 0.7389 0.1111
Na 0.5000 0.5000 0.5000
Na 0.6111 0.2389 0.8935
Na 0.7389 0.1111 0.3935
Na 0.8935 0.6111 0.2389
Ca 0.3482 0.3482 0.3482
Ca 0.8482 0.8482 0.8482
Al 0.1478 0.1478 0.1478
Al 0.6478 0.6478 0.6478
P 0.0410 0.7700 0.4426
P 0.2700 0.5410 0.9426
P 0.4426 0.0410 0.7700
P 0.5410 0.9426 0.2700
P 0.7700 0.4426 0.0410
P 0.9426 0.2700 0.5410
O 0.0372 0.8042 0.5952
O 0.0476 0.9429 0.2704
O 0.0952 0.3042 0.5372
O 0.1142 0.7154 0.9044
O 0.2154 0.6142 0.4044
O 0.2318 0.3648 0.9905
O 0.2704 0.0476 0.9429
O 0.3042 0.5372 0.0952
O 0.3648 0.9905 0.2318
O 0.4044 0.2154 0.6142
O 0.4429 0.5476 0.7704
O 0.4905 0.8648 0.7318
O 0.5372 0.0952 0.3042
O 0.5476 0.7704 0.4429
O 0.5952 0.0372 0.8042
O 0.6142 0.4044 0.2154
O 0.7154 0.9044 0.1142
O 0.7318 0.4905 0.8648
O 0.7704 0.4429 0.5476
O 0.8042 0.5952 0.0372
O 0.8648 0.7318 0.4905
O 0.9044 0.1142 0.7154
O 0.9429 0.2704 0.0476
O 0.9905 0.2318 0.3648

Most intense lines, 15 to 90 degrees two-theta, by intensity:
| Position (°2θ) | d [Å] | intensity |
| --- | --- | --- |
| 31.65 | 2.827 | 100.0 |
| 33.85 | 2.648 | 69.2 |
| 23.01 | 3.865 | 58.2 |
| 47.02 | 1.933 | 39.7 |
| 30.05 | 2.974 | 34.0 |
| 59.19 | 1.561 | 25.7 |
| 24.80 | 3.590 | 24.8 |
| 19.92 | 4.457 | 24.2 |
| 62.51 | 1.486 | 18.8 |
| 41.33 | 2.184 | 17.2 |

---

Simulated powder XRD pattern of Na5Ca2AlP4O16 for CuKα, from a crystal structure in the Materials Project, relaxed with PBE.
Lines closer than 0.1° are merged.

Cell and atoms:
Lattice parameters (Å, degrees): 9.0081 9.0081 10.6214 107.76 107.76 103.00
Sites, in units of the cell vectors:
Na 0.0062 0.9938 0.5000
Na 0.0457 0.3043 0.8134
Na 0.3043 0.0457 0.3134
Na 0.4689 0.4973 0.9885
Na 0.4973 0.4689 0.4885
Na 0.5407 0.7986 0.3574
Na 0.6123 0.9676 0.1458
Na 0.7986 0.5407 0.8574
Na 0.9676 0.6123 0.6458
Na 0.9938 0.0062 0.0000
Ca 0.0565 0.2765 0.3406
Ca 0.2765 0.0565 0.8406
Ca 0.5251 0.7395 0.7995
Ca 0.7395 0.5251 0.2995
Al 0.1332 0.6513 0.2037
Al 0.6513 0.1332 0.7037
P 0.1972 0.6931 0.5017
P 0.2278 0.7395 0.9755
P 0.2795 0.3682 0.1610
P 0.3682 0.2795 0.6610
P 0.6931 0.1972 0.0017
P 0.7395 0.2278 0.4755
P 0.7932 0.8543 0.6548
P 0.8543 0.7932 0.1548
O 0.0249 0.5478 0.4118
O 0.0711 0.5851 0.8715
O 0.1437 0.4530 0.1656
O 0.1843 0.8245 0.6259
O 0.2057 0.8999 0.9642
O 0.2349 0.2380 0.7199
O 0.2353 0.7709 0.3937
O 0.2380 0.2349 0.2199
O 0.2567 0.2923 0.0029
O 0.2594 0.7628 0.1392
O 0.2923 0.2567 0.5029
O 0.3325 0.6229 0.5567
O 0.3861 0.7186 0.9556
O 0.4530 0.1437 0.6656
O 0.4551 0.5020 0.2580
O 0.5020 0.4551 0.7580
O 0.5478 0.0249 0.9118
O 0.5851 0.0711 0.3715
O 0.6229 0.3325 0.0567
O 0.6448 0.9267 0.6322
O 0.7186 0.3861 0.4556
O 0.7240 0.7492 0.2170
O 0.7492 0.7240 0.7170
O 0.7628 0.2594 0.6392
O 0.7687 0.7917 0.0043
O 0.7709 0.2353 0.8937
O 0.7917 0.7687 0.5043
O 0.8245 0.1843 0.1259
O 0.8999 0.2057 0.4642
O 0.9267 0.6448 0.1322
O 0.9585 0.9994 0.7565
O 0.9994 0.9585 0.2565

Most intense lines, 15 to 90 degrees two-theta, by intensity:
| Position (°2θ) | d [Å] | intensity |
| --- | --- | --- |
| 31.28 | 2.859 | 100.0 |
| 31.94 | 2.802 | 85.3 |
| 32.50 | 2.755 | 76.1 |
| 33.76 | 2.655 | 62.7 |
| 22.13 | 4.017 | 45.7 |
| 24.91 | 3.574 | 41.9 |
| 46.42 | 1.956 | 35.9 |
| 17.28 | 5.131 | 34.3 |
| 31.72 | 2.821 | 33.6 |
| 46.96 | 1.935 | 33.2 |